# Ac2Cl2O
Simulated powder XRD pattern, Cu Kα, 1.54184 Å. Input: a cell relaxed with GGA-PBE.
Kinematic intensities with the Lorentz-polarization factor, no thermal factor.

Main lines, by angle (2θ from 10° to 90°):
2theta	intensity
13.06	18
19.41	100
19.64	21
20.49	22
23.46	19
27.58	42
27.75	38
34.09	23
44.29	23
44.74	26
48.88	18
61.11	17

Atomic structure:
Unit cell a=4.573 b=4.573 c=13.562 alpha=90.00 beta=90.00 gamma=90.00
Positions (direct):
Ac 0.000 0.000 0.165
Ac 0.000 0.000 0.835
Cl 0.000 0.000 0.361
Cl 0.000 0.000 0.639
O 0.000 0.000 0.000

---

# Tl4CuTe3
Simulated powder XRD pattern, Cu Kα, 1.54184 Å. Input: a cell relaxed with GGA-PBE.
Kinematic intensities with the Lorentz-polarization factor, no thermal factor.

Main lines, by angle (2θ from 10° to 90°):
2theta	intensity
14.24	9
31.37	100
32.18	52
41.04	9
43.64	9
47.97	13
55.33	9
60.96	23
61.52	10
63.48	16
72.63	8
83.73	9

Atomic structure:
Unit cell a=8.789 b=8.789 c=8.789 alpha=119.92 beta=119.92 gamma=90.13
Positions (direct):
Tl 0.011 0.511 0.204
Tl 0.194 0.989 0.500
Tl 0.306 0.806 0.796
Tl 0.489 0.694 0.500
Tl 0.511 0.306 0.500
Tl 0.694 0.194 0.204
Tl 0.806 0.011 0.500
Tl 0.989 0.489 0.796
Cu 0.000 0.000 0.000
Cu 0.500 0.500 0.000
Te 0.160 0.340 0.500
Te 0.250 0.250 0.000
Te 0.340 0.840 0.180
Te 0.660 0.160 0.820
Te 0.750 0.750 0.000
Te 0.840 0.660 0.500

---

# Na3YHfSiP2O12
Simulated powder XRD pattern, Cu Kα, 1.54184 Å. Input: a cell relaxed with GGA-PBE.
Kinematic intensities with the Lorentz-polarization factor, no thermal factor.

Main lines, by angle (2θ from 10° to 90°):
2theta	intensity
13.54	30
19.19	100
22.55	15
27.27	27
30.49	36
30.60	20
33.51	16
33.61	39
43.80	14
45.97	16
52.34	14
58.04	10

Atomic structure:
Unit cell a=9.234 b=9.234 c=9.236 alpha=119.70 beta=119.70 gamma=60.14
Positions (direct):
Na 0.073 0.927 0.500
Na 0.234 0.420 0.967
Na 0.354 0.789 0.206
Na 0.420 0.234 0.467
Na 0.789 0.354 0.706
Na 0.927 0.073 0.000
Y 0.176 0.669 0.766
Y 0.669 0.176 0.266
Hf 0.471 0.957 0.643
Hf 0.957 0.471 0.143
Si 0.356 0.576 0.443
Si 0.576 0.356 0.943
P 0.080 0.260 0.454
P 0.260 0.080 0.954
P 0.768 0.856 0.457
P 0.856 0.768 0.957
O 0.028 0.743 0.945
O 0.034 0.305 0.288
O 0.091 0.250 0.955
O 0.121 0.414 0.623
O 0.187 0.527 0.261
O 0.215 0.937 0.947
O 0.250 0.091 0.455
O 0.297 0.631 0.606
O 0.305 0.034 0.788
O 0.372 0.753 0.457
O 0.407 0.538 0.953
O 0.414 0.121 0.123
O 0.527 0.187 0.761
O 0.538 0.407 0.453
O 0.591 0.873 0.456
O 0.631 0.297 0.106
O 0.692 0.817 0.796
O 0.743 0.028 0.445
O 0.753 0.372 0.957
O 0.817 0.692 0.296
O 0.835 0.917 0.128
O 0.873 0.591 0.956
O 0.917 0.835 0.628
O 0.937 0.215 0.447

---

# Rb3Cu2Bi5S10
Simulated powder XRD pattern, Cu Kα, 1.54184 Å. Input: a cell relaxed with GGA-PBE.
Kinematic intensities with the Lorentz-polarization factor, no thermal factor.

Main lines, by angle (2θ from 10° to 90°):
2theta	intensity
11.97	65
23.12	97
24.07	50
27.09	87
28.83	37
30.11	77
32.14	100
40.55	34
41.93	24
42.76	37
44.40	31
51.15	29

Atomic structure:
Unit cell a=14.792 b=18.029 c=4.080 alpha=90.00 beta=90.00 gamma=90.00
Positions (direct):
Rb 0.000 0.000 0.000
Rb 0.024 0.251 0.500
Rb 0.476 0.751 0.000
Rb 0.500 0.500 0.500
Rb 0.524 0.249 0.000
Rb 0.976 0.749 0.500
Cu 0.220 0.745 0.000
Cu 0.280 0.245 0.500
Cu 0.720 0.755 0.500
Cu 0.780 0.255 0.000
Bi 0.000 0.500 0.000
Bi 0.216 0.594 0.500
Bi 0.238 0.895 0.500
Bi 0.262 0.395 0.000
Bi 0.284 0.094 0.000
Bi 0.500 0.000 0.500
Bi 0.716 0.906 0.000
Bi 0.738 0.605 0.000
Bi 0.762 0.105 0.500
Bi 0.784 0.406 0.500
S 0.096 0.637 0.000
S 0.119 0.445 0.500
S 0.128 0.850 0.000
S 0.170 0.033 0.500
S 0.204 0.228 0.000
S 0.296 0.728 0.500
S 0.330 0.533 0.000
S 0.372 0.350 0.500
S 0.381 0.945 0.000
S 0.404 0.137 0.500
S 0.596 0.863 0.500
S 0.619 0.055 0.000
S 0.628 0.650 0.500
S 0.670 0.467 0.000
S 0.704 0.272 0.500
S 0.796 0.772 0.000
S 0.830 0.967 0.500
S 0.872 0.150 0.000
S 0.881 0.555 0.500
S 0.904 0.363 0.000

---

# BiTeO4
Simulated powder XRD pattern, Cu Kα, 1.54184 Å. Input: a cell relaxed with GGA-PBE.
Kinematic intensities with the Lorentz-polarization factor, no thermal factor.

Main lines, by angle (2θ from 10° to 90°):
2theta	intensity
21.90	84
22.40	46
23.21	73
23.38	49
26.52	53
27.34	74
27.43	100
27.95	47
28.53	88
29.71	45
30.83	73
35.22	52

Atomic structure:
Unit cell a=7.464 b=7.688 c=8.289 alpha=75.06 beta=67.91 gamma=61.44
Positions (direct):
Bi 0.000 0.000 0.000
Bi 0.046 0.633 0.709
Bi 0.550 0.522 0.973
Bi 0.766 0.619 0.320
Te 0.196 0.982 0.319
Te 0.487 0.106 0.896
Te 0.540 0.179 0.406
Te 0.959 0.281 0.623
O 0.086 0.676 0.068
O 0.111 0.920 0.564
O 0.218 0.582 0.904
O 0.245 0.325 0.417
O 0.337 0.924 0.985
O 0.391 0.182 0.700
O 0.408 0.675 0.276
O 0.474 0.552 0.431
O 0.543 0.931 0.383
O 0.633 0.237 0.141
O 0.662 0.306 0.770
O 0.764 0.882 0.859
O 0.825 0.575 0.572
O 0.896 0.431 0.895
O 0.913 0.272 0.409
O 0.976 0.946 0.277

---

# Y2ReC2
Simulated powder XRD pattern, Cu Kα, 1.54184 Å. Input: a cell relaxed with GGA-PBE.
Kinematic intensities with the Lorentz-polarization factor, no thermal factor.

Main lines, by angle (2θ from 10° to 90°):
2theta	intensity
19.49	22
22.44	25
27.04	13
32.24	66
33.55	72
35.02	100
45.81	19
53.09	12
57.52	11
58.90	17
61.83	13
69.13	13

Atomic structure:
Unit cell a=6.595 b=5.130 c=9.910 alpha=90.00 beta=90.00 gamma=90.00
Positions (direct):
Y 0.032 0.250 0.217
Y 0.181 0.250 0.556
Y 0.319 0.750 0.056
Y 0.468 0.750 0.717
Y 0.532 0.250 0.283
Y 0.681 0.250 0.944
Y 0.819 0.750 0.444
Y 0.968 0.750 0.783
Re 0.222 0.250 0.865
Re 0.278 0.750 0.365
Re 0.722 0.250 0.635
Re 0.778 0.750 0.135
C 0.045 0.750 0.241
C 0.179 0.750 0.548
C 0.321 0.250 0.048
C 0.455 0.250 0.741
C 0.545 0.750 0.259
C 0.679 0.750 0.952
C 0.821 0.250 0.452
C 0.955 0.250 0.759

---

# K4Ho2MgNb10O30
Simulated powder XRD pattern, Cu Kα, 1.54184 Å. Input: a cell relaxed with GGA-PBE.
Kinematic intensities with the Lorentz-polarization factor, no thermal factor.

Main lines, by angle (2θ from 10° to 90°):
2theta	intensity
10.00	32
13.66	67
22.54	45
23.87	37
25.61	35
27.54	70
27.86	36
28.88	37
29.39	54
31.11	52
31.80	100
46.01	52

Atomic structure:
Unit cell a=3.945 b=13.006 c=13.006 alpha=85.70 beta=90.00 gamma=90.00
Positions (direct):
K 0.000 0.000 0.000
K 0.000 0.415 0.415
K 0.000 0.527 0.874
K 0.000 0.874 0.527
Ho 0.000 0.178 0.707
Ho 0.000 0.707 0.178
Mg 0.500 0.308 0.308
Nb 0.500 0.124 0.464
Nb 0.500 0.156 0.156
Nb 0.500 0.269 0.890
Nb 0.500 0.410 0.627
Nb 0.500 0.464 0.124
Nb 0.500 0.627 0.410
Nb 0.500 0.695 0.695
Nb 0.500 0.757 0.976
Nb 0.500 0.890 0.269
Nb 0.500 0.976 0.757
O 0.000 0.101 0.471
O 0.000 0.152 0.152
O 0.000 0.260 0.856
O 0.000 0.370 0.615
O 0.000 0.471 0.101
O 0.000 0.615 0.370
O 0.000 0.678 0.678
O 0.000 0.746 0.992
O 0.000 0.856 0.260
O 0.000 0.992 0.746
O 0.500 0.002 0.170
O 0.500 0.085 0.617
O 0.500 0.108 0.817
O 0.500 0.158 0.310
O 0.500 0.170 0.002
O 0.500 0.272 0.463
O 0.500 0.278 0.722
O 0.500 0.310 0.158
O 0.500 0.392 0.955
O 0.500 0.463 0.272
O 0.500 0.494 0.494
O 0.500 0.518 0.708
O 0.500 0.617 0.085
O 0.500 0.680 0.842
O 0.500 0.708 0.518
O 0.500 0.722 0.278
O 0.500 0.817 0.108
O 0.500 0.842 0.680
O 0.500 0.889 0.889
O 0.500 0.955 0.392